# EuBiH
Simulated X-ray powder pattern, a wavelength of 1.5418 Å. Input: the PBE geometry in Alexandria.

Structure:
abc: 3.8022 3.8022 5.5048
angles: 90.00 90.00 120.00
Space group P-6m2 (No. 187)
Inequivalent atoms, fractional coordinates:
Eu 0.0000 0.0000 0.0000 (multiplicity 1)
Bi 0.3333 0.6667 0.5000 (multiplicity 1)
H 0.6667 0.3333 0.0000 (multiplicity 1)

Main lines, by angle (10 to 90 degrees two-theta):
2θ (°)	I (rel.)	(hkl)
27.08	26	1 0 0
31.66	100	1 0 1
32.53	21	0 0 2
42.82	16	1 0 2
47.85	21	1 1 0
57.50	19	1 0 3
58.51	18	2 0 1
59.05	23	1 1 2
78.85	15	2 1 1
87.51	8	1 1 4